# Tb3Y4Tm8
Simulated powder XRD pattern, CuKα. Input: a cell relaxed with GGA-PBE.
Kinematic intensities with the Lorentz-polarization factor, no thermal factor.

Atomic structure:
Cell lengths 6.8700, 6.8700, 34.9957 Å; angles 90.00, 90.00, 120.00 degrees
Space group R-3m (No. 166, hexagonal axes)
Unique sites:
Tb 0.0000 0.5000 0.0000 [9 per cell]
Y 0.0000 0.0000 0.0000 [3 per cell]
Y 0.0000 0.0000 0.1638 [6 per cell]
Y 0.0000 0.0000 0.5000 [3 per cell]
Tm 0.0000 0.0000 0.2553 [6 per cell]
Tm 0.0017 0.5009 0.2503 [18 per cell]

Largest 10 diffraction maxima, by angle, 2θ = 10–80°:
index, 2θ (°), I (rel.)
0 0 6, 15.18, 14
2 0 2, 30.48, 19
0 0 12, 30.66, 47
0 2 4, 31.77, 100
2 0 8, 36.53, 71
0 2 16, 51.89, 24
2 2 0, 53.34, 31
2 0 20, 61.48, 15
2 2 12, 62.79, 37
4 0 4, 63.44, 14